Entry 1:
Theoretical powder X-ray diffraction pattern of Ba4Cr13O28 for CuKα, from DFT lattice parameters and positions (GGA+U).
Intensities are scaled so that the largest is 1000.

Largest 10 diffraction maxima, most intense first, 2θ from 5° to 70°:
two_theta	Rel. int.
30.48	1000
39.00	717
28.45	569
30.98	523
28.69	505
18.58	494
63.44	493
31.96	486
58.88	419
38.82	358

Structure:
```
data_Ba4Cr13O28
_chemical_formula_sum 'Ba4 Cr13 O28'
_cell_length_a 9.9527
_cell_length_b 5.8634
_cell_length_c 10.1614
_cell_angle_alpha 90.00
_cell_angle_beta 110.31
_cell_angle_gamma 90.00
_symmetry_space_group_name_H-M 'P 1'
_symmetry_Int_Tables_number 1
loop_
_symmetry_equiv_pos_as_xyz
'x,y,z'
loop_
_atom_site_label
_atom_site_fract_x
_atom_site_fract_y
_atom_site_fract_z
_atom_site_occupancy
Ba1 0.0000 0.0000 0.0000 1
Ba2 0.0025 0.5000 0.5384 1
Ba3 0.2557 0.0000 0.4392 1
Ba4 0.2620 0.5000 0.9440 1
Cr1 0.3185 0.0000 0.7944 1
Cr2 0.3246 0.5000 0.2973 1
Cr3 0.4166 0.0000 0.1611 1
Cr4 0.4174 0.5000 0.6616 1
Cr5 0.6345 0.2486 0.9842 1
Cr6 0.6345 0.7514 0.9842 1
Cr7 0.6347 0.5000 0.2347 1
Cr8 0.6384 0.2430 0.4878 1
Cr9 0.6384 0.7570 0.4878 1
Cr10 0.6407 0.0000 0.7341 1
Cr11 0.8605 0.0000 0.3188 1
Cr12 0.8754 0.5000 0.7999 1
Cr13 0.9467 0.5000 0.1717 1
O1 0.2792 0.0000 0.9526 1
O2 0.2804 0.2440 0.1968 1
O3 0.2804 0.7560 0.1968 1
O4 0.2807 0.2588 0.6963 1
O5 0.2807 0.7412 0.6963 1
O6 0.2826 0.5000 0.4543 1
O7 0.5178 0.2618 0.1073 1
O8 0.5178 0.7382 0.1073 1
O9 0.5195 0.0000 0.3707 1
O10 0.5216 0.0000 0.8620 1
O11 0.5218 0.2363 0.6107 1
O12 0.5217 0.5000 0.8691 1
O13 0.5218 0.7637 0.6107 1
O14 0.5258 0.5000 0.3658 1
O15 0.7446 0.0000 0.6063 1
O16 0.7458 0.5000 0.1049 1
O17 0.7469 0.2403 0.8548 1
O18 0.7469 0.7597 0.8548 1
O19 0.7491 0.0000 0.1012 1
O20 0.7500 0.2539 0.3607 1
O21 0.7500 0.7461 0.3607 1
O22 0.7518 0.5000 0.6069 1
O23 0.9849 0.5000 0.0140 1
O24 0.9877 0.2441 0.2687 1
O25 0.9878 0.2843 0.7852 1
O26 0.9878 0.7157 0.7852 1
O27 0.9877 0.7559 0.2687 1
O28 0.9955 0.0000 0.4846 1
```

=====

Entry 2:
Theoretical powder X-ray diffraction pattern of YMg6MnO8 for CuKα, from DFT lattice parameters and positions (GGA+U).
Intensities are scaled so that the largest is 1000.

Largest 10 diffraction maxima, most intense first, 2θ from 5° to 70°:
two_theta	Rel. int.
40.35	1000
58.38	583
19.86	326
34.75	308
28.23	268
69.77	148
45.36	140
49.97	107
29.97	47
22.24	41

Structure:
```
data_YMg6MnO8
_chemical_formula_sum 'Y1 Mg6 Mn1 O8'
_cell_length_a 4.4685
_cell_length_b 4.4685
_cell_length_c 8.9518
_cell_angle_alpha 90.00
_cell_angle_beta 90.00
_cell_angle_gamma 90.00
_symmetry_space_group_name_H-M 'P 1'
_symmetry_Int_Tables_number 1
loop_
_symmetry_equiv_pos_as_xyz
'x,y,z'
loop_
_atom_site_label
_atom_site_fract_x
_atom_site_fract_y
_atom_site_fract_z
_atom_site_occupancy
Y1 0.0000 0.0000 0.0000 1
Mg1 0.0000 0.5000 0.2639 1
Mg2 0.0000 0.5000 0.7361 1
Mg3 0.5000 0.0000 0.2639 1
Mg4 0.5000 0.0000 0.7361 1
Mg5 0.5000 0.5000 0.0000 1
Mg6 0.5000 0.5000 0.5000 1
Mn1 0.0000 0.0000 0.5000 1
O1 0.0000 0.0000 0.2538 1
O2 0.0000 0.0000 0.7462 1
O3 0.0000 0.5000 0.0000 1
O4 0.0000 0.5000 0.5000 1
O5 0.5000 0.0000 0.0000 1
O6 0.5000 0.0000 0.5000 1
O7 0.5000 0.5000 0.2521 1
O8 0.5000 0.5000 0.7479 1
```

=====

Entry 3:
Theoretical powder X-ray diffraction pattern of CaMn2P4O14 for CuKα, from DFT lattice parameters and positions (GGA+U).
Intensities are scaled so that the largest is 1000.

Largest 10 diffraction maxima, most intense first, 2θ from 5° to 70°:
two_theta	Rel. int.
19.39	1000
15.82	848
17.14	833
17.72	474
20.47	471
31.76	448
32.03	445
20.27	391
29.23	344
19.67	342

Structure:
```
data_CaMn2P4O14
_chemical_formula_sum 'Ca1 Mn2 P4 O14'
_cell_length_a 5.3335
_cell_length_b 6.0907
_cell_length_c 10.3593
_cell_angle_alpha 75.15
_cell_angle_beta 85.89
_cell_angle_gamma 75.90
_symmetry_space_group_name_H-M 'P 1'
_symmetry_Int_Tables_number 1
loop_
_symmetry_equiv_pos_as_xyz
'x,y,z'
loop_
_atom_site_label
_atom_site_fract_x
_atom_site_fract_y
_atom_site_fract_z
_atom_site_occupancy
Ca1 0.0000 0.0000 0.0000 1
Mn1 0.0784 0.9532 0.6376 1
Mn2 0.1227 0.5845 0.2819 1
P1 0.2212 0.4483 0.5917 1
P2 0.5121 0.0596 0.7822 1
P3 0.6772 0.4858 0.1273 1
P4 0.9530 0.1099 0.3323 1
O1 0.0319 0.9318 0.2447 1
O2 0.0413 0.2838 0.5989 1
O3 0.1016 0.6273 0.6718 1
O4 0.1607 0.2521 0.3190 1
O5 0.2890 0.5625 0.4466 1
O6 0.3590 0.1110 0.9034 1
O7 0.3966 0.6233 0.1240 1
O8 0.4091 0.8913 0.7211 1
O9 0.4878 0.2995 0.6618 1
O10 0.6933 0.2907 0.2722 1
O11 0.7714 0.3567 0.0213 1
O12 0.8060 0.9774 0.8041 1
O13 0.8597 0.6447 0.1447 1
O14 0.8872 0.9937 0.4744 1
```

=====

Entry 4:
Theoretical powder X-ray diffraction pattern of Fe4O5F3 for CuKα, from DFT lattice parameters and positions (GGA+U).
Intensities are scaled so that the largest is 1000.

Largest 10 diffraction maxima, most intense first, 2θ from 5° to 70°:
two_theta	Rel. int.
25.66	1000
27.64	929
35.12	504
35.24	468
51.55	299
51.80	276
53.86	262
53.95	251
66.82	194
67.04	180

Structure:
```
data_Fe4O5F3
_chemical_formula_sum 'Fe8 O10 F6'
_cell_length_a 4.7435
_cell_length_b 6.0604
_cell_length_c 9.4740
_cell_angle_alpha 89.80
_cell_angle_beta 85.83
_cell_angle_gamma 89.77
_symmetry_space_group_name_H-M 'P 1'
_symmetry_Int_Tables_number 1
loop_
_symmetry_equiv_pos_as_xyz
'x,y,z'
loop_
_atom_site_label
_atom_site_fract_x
_atom_site_fract_y
_atom_site_fract_z
_atom_site_occupancy
Fe1 0.0000 0.0000 0.0000 1
Fe2 0.0055 0.5072 0.5133 1
Fe3 0.0169 0.9922 0.5093 1
Fe4 0.4540 0.7527 0.2376 1
Fe5 0.4845 0.7576 0.7337 1
Fe6 0.5003 0.2504 0.2587 1
Fe7 0.5517 0.2401 0.7681 1
Fe8 0.9740 0.5011 0.0132 1
O1 0.1659 0.7524 0.0941 1
O2 0.1974 0.7480 0.5961 1
O3 0.3002 0.4928 0.3511 1
O4 0.3046 0.0003 0.8524 1
O5 0.3059 0.0081 0.3493 1
O6 0.6772 0.4963 0.1612 1
O7 0.6870 0.0054 0.1551 1
O8 0.6959 0.4962 0.6602 1
O9 0.7072 0.0015 0.6537 1
O10 0.8203 0.2486 0.9154 1
F1 0.1942 0.2541 0.1031 1
F2 0.1980 0.2504 0.6028 1
F3 0.2983 0.4991 0.8557 1
F4 0.7912 0.7446 0.9039 1
F5 0.8102 0.7508 0.4066 1
F6 0.8134 0.2501 0.4112 1
```

=====

Entry 5:
Theoretical powder X-ray diffraction pattern of Sr3LaMn2W2O12 for CuKα, from DFT lattice parameters and positions (GGA+U).
Intensities are scaled so that the largest is 1000.

Largest 10 diffraction maxima, most intense first, 2θ from 5° to 70°:
two_theta	Rel. int.
31.10	1000
30.98	987
18.81	711
54.86	587
44.12	570
30.74	493
30.86	467
44.82	258
55.10	229
55.33	211

Structure:
```
data_Sr3LaMn2W2O12
_chemical_formula_sum 'Sr6 La2 Mn4 W4 O24'
_cell_length_a 5.7949
_cell_length_b 5.8174
_cell_length_c 16.1767
_cell_angle_alpha 90.00
_cell_angle_beta 90.29
_cell_angle_gamma 90.00
_symmetry_space_group_name_H-M 'P 1'
_symmetry_Int_Tables_number 1
loop_
_symmetry_equiv_pos_as_xyz
'x,y,z'
loop_
_atom_site_label
_atom_site_fract_x
_atom_site_fract_y
_atom_site_fract_z
_atom_site_occupancy
Sr1 0.2331 0.0000 0.0005 1
Sr2 0.2410 0.9990 0.4986 1
Sr3 0.2587 0.9547 0.7552 1
Sr4 0.7413 0.4547 0.2448 1
Sr5 0.7590 0.4990 0.5014 1
Sr6 0.7669 0.5000 0.9995 1
La1 0.2615 0.9476 0.2414 1
La2 0.7385 0.4476 0.7586 1
Mn1 0.2488 0.4755 0.3745 1
Mn2 0.2525 0.4774 0.8775 1
Mn3 0.7475 0.9774 0.1225 1
Mn4 0.7512 0.9755 0.6255 1
W1 0.2470 0.4761 0.1249 1
W2 0.2498 0.4774 0.6243 1
W3 0.7502 0.9774 0.3757 1
W4 0.7530 0.9761 0.8751 1
O1 0.0002 0.2585 0.6037 1
O2 0.9998 0.7585 0.3963 1
O3 0.0184 0.7564 0.8931 1
O4 0.0337 0.7486 0.1072 1
O5 0.0409 0.7345 0.6019 1
O6 0.1583 0.4892 0.7407 1
O7 0.1726 0.4961 0.2452 1
O8 0.3288 0.4640 0.5069 1
O9 0.3337 0.4639 0.0102 1
O10 0.4596 0.2029 0.1533 1
O11 0.4698 0.2271 0.6486 1
O12 0.4912 0.1887 0.3522 1
O13 0.4960 0.2095 0.8478 1
O14 0.5040 0.7095 0.1522 1
O15 0.5088 0.6887 0.6478 1
O16 0.5302 0.7271 0.3514 1
O17 0.5404 0.7029 0.8467 1
O18 0.6663 0.9639 0.9898 1
O19 0.6712 0.9640 0.4931 1
O20 0.8274 0.9961 0.7548 1
O21 0.8417 0.9892 0.2593 1
O22 0.9591 0.2345 0.3981 1
O23 0.9663 0.2486 0.8928 1
O24 0.9816 0.2564 0.1069 1
```